For V4Cu9Cl2O18, a cell relaxed with PBE+U gives the calculated powder diffraction line list in this record (Cu Kα (λ = 1.5418 Å)).
Lines closer than 0.1° are merged.

The 10 most intense peaks (2θ = 10–90°), in order of falling intensity:
d [Å]  2θ (°)  Rel. int.
3.397  26.23  100.0
6.914  12.80  90.4
3.164  28.21  87.5
2.946  30.34  71.1
4.126  21.54  68.3
2.480  36.22  62.5
2.569  34.93  59.7
5.581  15.88  57.2
3.241  27.52  56.2
2.321  38.80  51.3

Cell and atoms:
Unit cell a=6.5338 b=8.3917 c=9.3416 alpha=104.94 beta=96.34 gamma=107.43
Space group P-1 (No. 2)
Unique sites:
V: 0.1121 0.0849 0.3527
V: 0.3222 0.7486 0.8505
Cu: 0.0000 0.5000 0.0000
Cu: 0.0000 0.5000 0.5000
Cu: 0.1455 0.2281 0.0361
Cu: 0.1670 0.3299 0.6888
Cu: 0.4180 0.0450 0.6441
Cu: 0.5000 0.5000 0.0000
Cl: 0.3498 0.6329 0.2696
O: 0.0898 0.2816 0.4679
O: 0.1174 0.0936 0.1733
O: 0.1240 0.7292 0.9664
O: 0.1382 0.0911 0.6602
O: 0.1948 0.3896 0.9048
O: 0.2087 0.5658 0.6840
O: 0.3421 0.0371 0.4214
O: 0.3897 0.9359 0.8044
O: 0.4533 0.2841 0.0509